# 1
Diffraction record for La6SnO12. The XRD peak list is calculated, not measured: it uses a crystal structure in Alexandria, relaxed with GGA-PBE and copper Kα.

Main lines, low angle first (15 to 90 degrees two-theta):
| d [Å] | I_rel | h k l |
| --- | --- | --- |
| 3.303 | 33 | 0 0 3 |
| 3.242 | 100 | 3 -1 1 |
| 2.820 | 43 | 1 2 2 |
| 2.008 | 32 | 3 -1 4 |
| 1.981 | 30 | 4 1 0 |
| 1.716 | 15 | 1 2 5 |
| 1.699 | 26 | 4 1 3 |
| 1.690 | 14 | 2 4 1 |
| 1.621 | 10 | 6 -2 2 |
| 1.286 | 9 | 8 -5 1 |

Structure:
Lattice parameters (Å, degrees): 10.4799 10.4799 9.9079 90.00 90.00 120.00
Space group R-3 (No. 148, hexagonal axes)
Symmetry-distinct sites (fractional):
La1 0.0511 0.7926 0.1540 (multiplicity 18)
Sn1 0.0000 0.0000 0.5000 (multiplicity 3)
O1 0.0378 0.8112 0.9037 (multiplicity 18)
O2 0.0408 0.8475 0.3937 (multiplicity 18)



# 2
Diffraction record for Sr2LaSnO6. The XRD peak list is calculated, not measured: it uses a crystal structure in Alexandria, relaxed with GGA-PBE and copper Kα.

Main lines, low angle first (15 to 90 degrees two-theta):
| d [Å] | I_rel | h k l |
| --- | --- | --- |
| 4.304 | 9 | 1 1 -1 |
| 3.085 | 23 | 0 2 0 |
| 3.033 | 100 | 1 1 -3 |
| 3.003 | 22 | 2 0 -2 |
| 2.152 | 25 | 2 2 -2 |
| 2.138 | 13 | 0 0 4 |
| 1.771 | 18 | 1 3 -3 |
| 1.757 | 11 | 0 2 4 |
| 1.744 | 18 | 2 0 2 |
| 1.737 | 17 | 3 1 -5 |

Structure:
Lattice parameters (Å, degrees): 6.007 6.170 10.428 90.00 124.91 90.00
Space group P2_1/c (No. 14)
Symmetry-distinct sites (fractional):
Sr1 0.236 0.047 0.253 (multiplicity 4)
La1 0.500 0.000 0.000 (multiplicity 2)
Sn1 0.000 0.000 0.500 (multiplicity 2)
O1 0.124 0.226 0.937 (multiplicity 4)
O2 0.228 0.693 0.949 (multiplicity 4)
O3 0.340 0.049 0.732 (multiplicity 4)



# 3
Diffraction record for LaZr2SnO8. The XRD peak list is calculated, not measured: it uses a crystal structure in Alexandria, relaxed with GGA-PBE and copper Kα.

Main lines, low angle first (15 to 90 degrees two-theta):
| d [Å] | I_rel | h k l |
| --- | --- | --- |
| 3.615 | 65 | 0 2 0 |
| 3.509 | 58 | 2 0 0 |
| 2.825 | 100 | 1 1 2 |
| 2.518 | 27 | 2 2 0 |
| 1.895 | 45 | 1 3 2 |
| 1.864 | 40 | 3 1 2 |
| 1.807 | 11 | 0 4 0 |
| 1.534 | 11 | 2 0 4 |
| 1.506 | 26 | 3 3 2 |
| 1.412 | 11 | 2 2 4 |

Structure:
Lattice parameters (Å, degrees): 7.019 7.230 6.823 90.00 90.00 90.00
Space group Cmmm (No. 65)
Symmetry-distinct sites (fractional):
La1 0.000 0.000 0.000 (multiplicity 2)
Zr1 0.000 0.500 0.251 (multiplicity 4)
Sn1 0.000 0.000 0.500 (multiplicity 2)
O1 0.000 0.302 0.500 (multiplicity 4)
O2 0.000 0.325 0.000 (multiplicity 4)
O3 0.205 0.000 0.282 (multiplicity 8)



# 4
Diffraction record for Sr3La4O9. The XRD peak list is calculated, not measured: it uses a crystal structure in Alexandria, relaxed with GGA-PBE and copper Kα.

Main lines, low angle first (15 to 90 degrees two-theta):
| d [Å] | I_rel | h k l |
| --- | --- | --- |
| 5.008 | 25 | 0 1 2 |
| 3.136 | 86 | 1 0 7 |
| 3.114 | 100 | 1 1 0 |
| 2.209 | 39 | 0 2 7 |
| 2.159 | 40 | 1 1 9 |
| 1.802 | 37 | 3 -1 7 |
| 1.798 | 31 | 3 0 0 |
| 1.609 | 14 | 1 0 16 |
| 1.557 | 14 | 2 2 0 |
| 1.177 | 22 | 1 4 0 |

Structure:
Lattice parameters (Å, degrees): 6.2275 6.2275 26.9777 90.00 90.00 120.00
Space group R3 (No. 146, hexagonal axes)
Symmetry-distinct sites (fractional):
Sr1 0.0000 0.0000 0.0000 (multiplicity 3)
Sr2 0.0000 0.0000 0.1794 (multiplicity 3)
Sr3 0.0000 0.0000 0.6112 (multiplicity 3)
La1 0.0000 0.0000 0.3073 (multiplicity 3)
La2 0.0000 0.0000 0.4393 (multiplicity 3)
La3 0.0000 0.0000 0.7431 (multiplicity 3)
La4 0.0000 0.0000 0.8715 (multiplicity 3)
O1 0.9997 0.6172 0.0277 (multiplicity 9)
O2 0.0033 0.3839 0.5890 (multiplicity 9)
O3 0.0451 0.6912 0.4755 (multiplicity 9)



# 5
Diffraction record for Sr3La4O9. The XRD peak list is calculated, not measured: it uses a crystal structure in Alexandria, relaxed with GGA-PBE and copper Kα.

Main lines, low angle first (15 to 90 degrees two-theta):
| d [Å] | I_rel | h k l |
| --- | --- | --- |
| 3.191 | 24 | 3 1 -3 |
| 3.117 | 100 | 2 2 -1 |
| 3.057 | 53 | 1 1 3 |
| 3.038 | 46 | 1 1 -4 |
| 2.973 | 24 | 4 0 -2 |
| 2.483 | 36 | 3 1 2 |
| 2.452 | 40 | 3 1 -5 |
| 2.293 | 24 | 1 3 -2 |
| 1.682 | 26 | 2 0 6 |
| 1.670 | 30 | 2 0 -8 |

Structure:
Lattice parameters (Å, degrees): 11.894 7.320 13.521 90.00 115.27 90.00
Space group Cc (No. 9)
Symmetry-distinct sites (fractional):
Sr1 0.000 0.064 0.000 (multiplicity 4)
Sr2 0.319 0.086 0.556 (multiplicity 4)
Sr3 0.401 0.339 0.224 (multiplicity 4)
La1 0.123 0.371 0.639 (multiplicity 4)
La2 0.142 0.184 0.276 (multiplicity 4)
La3 0.194 0.376 0.933 (multiplicity 4)
La4 0.403 0.136 0.844 (multiplicity 4)
O1 0.019 0.476 0.751 (multiplicity 4)
O2 0.116 0.082 0.878 (multiplicity 4)
O3 0.128 0.315 0.457 (multiplicity 4)
O4 0.167 0.327 0.103 (multiplicity 4)
O5 0.207 0.070 0.681 (multiplicity 4)
O6 0.301 0.435 0.819 (multiplicity 4)
O7 0.366 0.157 0.392 (multiplicity 4)
O8 0.406 0.230 0.028 (multiplicity 4)
O9 0.437 0.366 0.652 (multiplicity 4)



# 6
Diffraction record for Sr3LaTa3O12. The XRD peak list is calculated, not measured: it uses a crystal structure in Alexandria, relaxed with GGA-PBE and copper Kα.

Main lines, low angle first (15 to 90 degrees two-theta):
| d [Å] | I_rel | h k l |
| --- | --- | --- |
| 4.638 | 16 | 0 1 2 |
| 3.667 | 18 | 0 1 5 |
| 3.068 | 100 | 1 0 7 |
| 2.845 | 82 | 1 1 0 |
| 2.086 | 52 | 0 2 7 |
| 1.822 | 23 | 0 1 14 |
| 1.682 | 36 | 2 1 7 |
| 1.643 | 17 | 3 0 0 |
| 1.534 | 16 | 2 0 14 |
| 1.350 | 18 | 1 2 14 |

Structure:
Lattice parameters (Å, degrees): 5.6899 5.6899 27.4489 90.00 90.00 120.00
Space group R3m (No. 160, hexagonal axes)
Symmetry-distinct sites (fractional):
Sr1 0.0000 0.0000 0.0000 (multiplicity 3)
Sr2 0.0000 0.0000 0.1483 (multiplicity 3)
Sr3 0.0000 0.0000 0.5714 (multiplicity 3)
La1 0.0000 0.0000 0.4286 (multiplicity 3)
Ta1 0.0000 0.0000 0.2845 (multiplicity 3)
Ta2 0.0000 0.0000 0.7080 (multiplicity 3)
Ta3 0.0000 0.0000 0.8613 (multiplicity 3)
O1 0.0003 0.5002 0.5758 (multiplicity 9)
O2 0.0075 0.5038 0.1608 (multiplicity 9)
O3 0.1670 0.3339 0.3249 (multiplicity 9)
O4 0.1692 0.3385 0.7408 (multiplicity 9)



# 7
Diffraction record for Sr2LaTa3O11. The XRD peak list is calculated, not measured: it uses a crystal structure in Alexandria, relaxed with GGA-PBE and copper Kα.

Main lines, low angle first (15 to 90 degrees two-theta):
| d [Å] | I_rel | h k l |
| --- | --- | --- |
| 4.518 | 30 | 0 1 3 |
| 3.646 | 32 | 0 0 6 |
| 3.484 | 55 | 0 1 5 |
| 3.136 | 100 | 1 1 2 |
| 2.878 | 48 | 0 2 0 |
| 2.809 | 87 | 1 1 4 |
| 2.746 | 29 | 0 1 7 |
| 1.990 | 30 | 2 0 0 |
| 1.869 | 34 | 1 2 7 |
| 1.593 | 29 | 1 1 12 |

Structure:
Lattice parameters (Å, degrees): 3.981 5.755 21.877 90.00 90.00 90.00
Space group Immm (No. 71)
Symmetry-distinct sites (fractional):
Sr1 0.000 0.000 0.205 (multiplicity 4)
La1 0.000 0.500 0.000 (multiplicity 2)
Ta1 0.000 0.000 0.365 (multiplicity 4)
Ta2 0.000 0.500 0.500 (multiplicity 2)
O1 0.000 0.000 0.000 (multiplicity 2)
O2 0.000 0.236 0.441 (multiplicity 8)
O3 0.000 0.238 0.306 (multiplicity 8)
O4 0.000 0.500 0.120 (multiplicity 4)



# 8
Diffraction record for SrLaTe2O8. The XRD peak list is calculated, not measured: it uses a crystal structure in Alexandria, relaxed with GGA-PBE and copper Kα.

Main lines, low angle first (15 to 90 degrees two-theta):
| d [Å] | I_rel | h k l |
| --- | --- | --- |
| 3.273 | 100 | 1 1 2 |
| 2.990 | 14 | 0 0 4 |
| 2.765 | 20 | 2 0 0 |
| 2.030 | 31 | 2 0 4 |
| 1.955 | 14 | 2 2 0 |
| 1.776 | 17 | 1 1 6 |
| 1.679 | 28 | 1 3 2 |
| 1.636 | 12 | 2 2 4 |
| 1.315 | 20 | 3 1 6 |
| 1.143 | 12 | 1 1 10 |

Structure:
Lattice parameters (Å, degrees): 5.530 5.530 11.961 90.00 90.00 90.00
Space group I-4 (No. 82)
Symmetry-distinct sites (fractional):
Sr1 0.000 0.000 0.000 (multiplicity 2)
La1 0.000 0.500 0.750 (multiplicity 2)
Te1 0.000 0.000 0.500 (multiplicity 2)
Te2 0.000 0.500 0.250 (multiplicity 2)
O1 0.155 0.252 0.590 (multiplicity 8)
O2 0.159 0.739 0.169 (multiplicity 8)



# 9
Diffraction record for SrLa2TlO6. The XRD peak list is calculated, not measured: it uses a crystal structure in Alexandria, relaxed with GGA-PBE and copper Kα.

Main lines, low angle first (15 to 90 degrees two-theta):
| d [Å] | I_rel | h k l |
| --- | --- | --- |
| 5.042 | 16 | 1 0 1 |
| 4.424 | 16 | 0 1 2 |
| 3.193 | 100 | 1 0 4 |
| 3.068 | 96 | 1 1 0 |
| 2.212 | 43 | 0 2 4 |
| 2.011 | 28 | 2 -1 6 |
| 1.794 | 43 | 3 -1 4 |
| 1.771 | 29 | 3 0 0 |
| 1.534 | 16 | 2 2 0 |
| 1.383 | 16 | 1 3 4 |

Structure:
Lattice parameters (Å, degrees): 6.1363 6.1363 15.9739 90.00 90.00 120.00
Space group R3 (No. 146, hexagonal axes)
Symmetry-distinct sites (fractional):
Sr1 0.0000 0.0000 0.0000 (multiplicity 3)
La1 0.0000 0.0000 0.2750 (multiplicity 3)
La2 0.0000 0.0000 0.7781 (multiplicity 3)
Tl1 0.0000 0.0000 0.4921 (multiplicity 3)
O1 0.0142 0.7284 0.3880 (multiplicity 9)
O2 0.0402 0.3560 0.5520 (multiplicity 9)